Entry 1:
This entry pairs a crystal structure of NpNi2Ge4Ir with its simulated X-ray diffraction stick pattern. Radiation: Cu Ka. Structure: a crystal structure in Alexandria, relaxed with PBE.
Peak positions follow from Bragg's law for the DFT cell and can differ from measured ones.

Most intense lines, 2θ from 15° to 90°, by angle:
2θ 25.75, d = 3.460 Å, I 50
2θ 28.41, d = 3.142 Å, I 25
2θ 37.34, d = 2.408 Å, I 100
2θ 42.98, d = 2.105 Å, I 27
2θ 43.68, d = 2.072 Å, I 83
2θ 58.79, d = 1.571 Å, I 27

a = 8.9849 Å, b = 8.9849 Å, c = 8.9849 Å
α = 26.67°, β = 26.67°, γ = 26.67°
Element x y z (fractional)
Np1 0.0000 0.0000 0.0000
Ni1 0.2381 0.2381 0.2381
Ni2 0.7619 0.7619 0.7619
Ge1 0.1246 0.1246 0.1246
Ge2 0.3965 0.3965 0.3965
Ge3 0.6035 0.6035 0.6035
Ge4 0.8754 0.8754 0.8754
Ir1 0.5000 0.5000 0.5000

---

Entry 2:
This entry pairs a crystal structure of Mg2CdAu7 with its simulated X-ray diffraction stick pattern. Radiation: Cu Ka. Structure: a crystal structure in Alexandria, relaxed with PBE.
Peak positions follow from Bragg's law for the DFT cell and can differ from measured ones.

Most intense lines, 2θ from 15° to 90°, by angle:
2θ 21.49, d = 4.135 Å, I 58
2θ 38.16, d = 2.358 Å, I 100
2θ 38.45, d = 2.341 Å, I 96
2θ 43.80, d = 2.067 Å, I 36
2θ 44.89, d = 2.019 Å, I 62
2θ 64.51, d = 1.444 Å, I 43

a = 9.4706 Å, b = 8.9910 Å, c = 5.0337 Å
α = 79.51°, β = 68.98°, γ = 31.51°
Element x y z (fractional)
Mg1 0.1707 0.1707 0.8293
Mg2 0.8293 0.8293 0.1707
Cd1 0.5000 0.5000 0.5000
Au1 0.0000 0.0000 0.0000
Au2 0.0885 0.0885 0.4115
Au3 0.2500 0.2500 0.2500
Au4 0.4115 0.4115 0.0885
Au5 0.5885 0.5885 0.9115
Au6 0.7500 0.7500 0.7500
Au7 0.9115 0.9115 0.5885

---

Entry 3:
This entry pairs a crystal structure of Ac7PdPb4 with its simulated X-ray diffraction stick pattern. Radiation: Cu Ka. Structure: a crystal structure in Alexandria, relaxed with PBE.
Peak positions follow from Bragg's law for the DFT cell and can differ from measured ones.

Most intense lines, 2θ from 15° to 90°, by angle:
2θ 21.93, d = 4.053 Å, I 21
2θ 30.53, d = 2.928 Å, I 100
2θ 30.90, d = 2.894 Å, I 34
2θ 31.36, d = 2.853 Å, I 54
2θ 44.01, d = 2.058 Å, I 27
2θ 54.23, d = 1.691 Å, I 33

a = 9.0126 Å, b = 9.0126 Å, c = 12.1321 Å
α = 124.94°, β = 124.94°, γ = 37.89°
Element x y z (fractional)
Ac1 0.0000 0.0000 0.0000
Ac2 0.1426 0.1426 0.5588
Ac3 0.2897 0.2897 0.1360
Ac4 0.4213 0.4213 0.7080
Ac5 0.5787 0.5787 0.2920
Ac6 0.7103 0.7103 0.8640
Ac7 0.8574 0.8574 0.4412
Pd1 0.5000 0.5000 0.0000
Pb1 0.0771 0.0771 0.7815
Pb2 0.2227 0.2227 0.3447
Pb3 0.7773 0.7773 0.6553
Pb4 0.9229 0.9229 0.2185

---

Please write out number 2 again, unchanged.
This entry pairs a crystal structure of Mg2CdAu7 with its simulated X-ray diffraction stick pattern. Radiation: Cu Ka. Structure: a crystal structure in Alexandria, relaxed with PBE.
Peak positions follow from Bragg's law for the DFT cell and can differ from measured ones.

Most intense lines, 2θ from 15° to 90°, by angle:
2θ 21.49, d = 4.135 Å, I 58
2θ 38.16, d = 2.358 Å, I 100
2θ 38.45, d = 2.341 Å, I 96
2θ 43.80, d = 2.067 Å, I 36
2θ 44.89, d = 2.019 Å, I 62
2θ 64.51, d = 1.444 Å, I 43

a = 9.4706 Å, b = 8.9910 Å, c = 5.0337 Å
α = 79.51°, β = 68.98°, γ = 31.51°
Element x y z (fractional)
Mg1 0.1707 0.1707 0.8293
Mg2 0.8293 0.8293 0.1707
Cd1 0.5000 0.5000 0.5000
Au1 0.0000 0.0000 0.0000
Au2 0.0885 0.0885 0.4115
Au3 0.2500 0.2500 0.2500
Au4 0.4115 0.4115 0.0885
Au5 0.5885 0.5885 0.9115
Au6 0.7500 0.7500 0.7500
Au7 0.9115 0.9115 0.5885